(1)
Computed X-ray powder pattern
Compound: CaAc2Ru
Radiation: Cu Ka
Structure: a crystal structure in Alexandria, relaxed with PBE
Kinematic intensities with the Lorentz-polarization factor, no thermal factor.

Top 10 peaks for 10 to 90 degrees two-theta, low angle first:
Position (°2θ)	I_rel
14.3	39
15.0	20
19.3	32
26.5	23
27.8	49
28.2	100
36.6	32
43.2	31
47.8	23
52.8	20

Structural model:
a = 7.300 Å, b = 6.739 Å, c = 12.362 Å
α = 90.00°, β = 90.00°, γ = 90.00°
Space group Pnna (No. 52)
Inequivalent atoms, fractional coordinates:
Ca: 0.096 0.250 0.250
Ac: 0.079 0.235 0.582
Ru: 0.250 0.000 0.419

---

(2)
Computed X-ray powder pattern
Compound: CaAc2Ru
Radiation: Cu Ka
Structure: a crystal structure in Alexandria, relaxed with PBE
Kinematic intensities with the Lorentz-polarization factor, no thermal factor.

Top 10 peaks for 10 to 90 degrees two-theta, low angle first:
Position (°2θ)	I_rel
25.0	37
26.8	22
27.1	100
28.6	33
32.2	68
41.3	31
42.8	46
43.8	22
49.4	24
51.2	23

Structural model:
a = 4.2278 Å, b = 4.2278 Å, c = 29.9360 Å
α = 90.00°, β = 90.00°, γ = 120.00°
Space group R-3m (No. 166, hexagonal axes)
Inequivalent atoms, fractional coordinates:
Ca: 0.0000 0.0000 0.0000
Ac: 0.0000 0.0000 0.2204
Ru: 0.0000 0.0000 0.5000

---

(3)
Computed X-ray powder pattern
Compound: CaAcRu
Radiation: Cu Ka
Structure: a crystal structure in Alexandria, relaxed with PBE
Kinematic intensities with the Lorentz-polarization factor, no thermal factor.

Top 10 peaks for 10 to 90 degrees two-theta, low angle first:
Position (°2θ)	I_rel
12.7	100
12.9	30
27.9	24
31.2	38
31.5	44
31.5	37
32.2	33
35.3	40
35.4	39
41.2	27

Structural model:
a = 3.610 Å, b = 7.158 Å, c = 7.285 Å
α = 102.38°, β = 104.32°, γ = 90.20°
Space group P-1 (No. 2)
Inequivalent atoms, fractional coordinates:
Ca: 0.119 0.057 0.238
Ac: 0.130 0.568 0.261
Ru: 0.500 0.272 0.998

---

(4)
Computed X-ray powder pattern
Compound: CaAcS
Radiation: Cu Ka
Structure: a crystal structure in Alexandria, relaxed with PBE
Kinematic intensities with the Lorentz-polarization factor, no thermal factor.

Top 10 peaks for 10 to 90 degrees two-theta, low angle first:
Position (°2θ)	I_rel
11.6	27
19.6	70
24.8	100
27.4	50
33.7	85
36.9	47
42.3	25
49.5	33
55.1	24
62.4	20

Structural model:
a = 5.3244 Å, b = 5.3244 Å, c = 22.9112 Å
α = 90.00°, β = 90.00°, γ = 120.00°
Space group R-3m (No. 166, hexagonal axes)
Inequivalent atoms, fractional coordinates:
Ca: 0.0000 0.0000 0.1355
Ac: 0.0000 0.0000 0.3868
S: 0.0000 0.0000 0.2568

---

(5)
Computed X-ray powder pattern
Compound: Ca4AcS5
Radiation: Cu Ka
Structure: a crystal structure in Alexandria, relaxed with PBE
Kinematic intensities with the Lorentz-polarization factor, no thermal factor.

Top 10 peaks for 10 to 90 degrees two-theta, low angle first:
Position (°2θ)	I_rel
12.2	32
21.8	38
23.4	33
26.5	37
30.6	100
30.8	41
43.9	30
44.0	58
54.6	30
80.8	19

Structural model:
a = 4.126 Å, b = 4.126 Å, c = 29.004 Å
α = 90.00°, β = 90.00°, γ = 90.00°
Space group I4/mmm (No. 139)
Inequivalent atoms, fractional coordinates:
Ca: 0.000 0.000 0.104
Ca: 0.000 0.000 0.298
Ac: 0.000 0.000 0.500
S: 0.000 0.000 0.000
S: 0.000 0.000 0.201
S: 0.000 0.000 0.396

---

(6)
Computed X-ray powder pattern
Compound: CaAc4Se7
Radiation: Cu Ka
Structure: a crystal structure in Alexandria, relaxed with PBE
Kinematic intensities with the Lorentz-polarization factor, no thermal factor.

Top 10 peaks for 10 to 90 degrees two-theta, low angle first:
Position (°2θ)	I_rel
21.6	86
22.0	95
27.7	50
28.1	100
29.1	71
30.3	70
37.7	66
39.6	35
41.5	54
41.9	37

Structural model:
a = 14.498 Å, b = 4.354 Å, c = 12.797 Å
α = 90.00°, β = 105.58°, γ = 90.00°
Space group Cm (No. 8)
Inequivalent atoms, fractional coordinates:
Ca: 0.000 0.000 0.000
Ac: 0.124 0.000 0.419
Ac: 0.229 0.000 0.858
Ac: 0.318 0.500 0.229
Ac: 0.432 0.000 0.633
Se: 0.081 0.000 0.638
Se: 0.096 0.500 0.905
Se: 0.162 0.000 0.197
Se: 0.284 0.500 0.477
Se: 0.353 0.500 0.782
Se: 0.387 0.000 0.076
Se: 0.463 0.000 0.379

---

(7)
Computed X-ray powder pattern
Compound: Ca2AcSe4
Radiation: Cu Ka
Structure: a crystal structure in Alexandria, relaxed with PBE
Kinematic intensities with the Lorentz-polarization factor, no thermal factor.

Top 10 peaks for 10 to 90 degrees two-theta, low angle first:
Position (°2θ)	I_rel
13.5	26
14.0	47
23.8	30
28.6	100
29.7	24
29.9	38
30.9	41
40.0	44
40.6	31
41.7	23

Structural model:
a = 4.331 Å, b = 14.423 Å, c = 13.139 Å
α = 90.00°, β = 90.00°, γ = 90.00°
Space group Cmcm (No. 63)
Inequivalent atoms, fractional coordinates:
Ca: 0.000 0.128 0.061
Ac: 0.000 0.394 0.250
Se: 0.000 0.038 0.250
Se: 0.000 0.235 0.631
Se: 0.000 0.500 0.000

---

(8)
Computed X-ray powder pattern
Compound: Ca2AcSe3
Radiation: Cu Ka
Structure: a crystal structure in Alexandria, relaxed with PBE
Kinematic intensities with the Lorentz-polarization factor, no thermal factor.

Top 10 peaks for 10 to 90 degrees two-theta, low angle first:
Position (°2θ)	I_rel
13.7	24
16.0	38
21.9	24
28.9	27
29.1	52
29.4	100
41.8	94
42.2	19
51.8	20
52.1	20

Structural model:
a = 4.281 Å, b = 6.142 Å, c = 12.942 Å
α = 90.00°, β = 90.00°, γ = 90.00°
Space group Immm (No. 71)
Inequivalent atoms, fractional coordinates:
Ca: 0.000 0.000 0.166
Ac: 0.000 0.000 0.500
Se: 0.000 0.500 0.177
Se: 0.000 0.500 0.500

---

(9)
Computed X-ray powder pattern
Compound: CaAc2Se4
Radiation: Cu Ka
Structure: a crystal structure in Alexandria, relaxed with PBE
Kinematic intensities with the Lorentz-polarization factor, no thermal factor.

Top 10 peaks for 10 to 90 degrees two-theta, low angle first:
Position (°2θ)	I_rel
12.8	75
20.1	25
23.6	24
27.5	28
30.7	32
30.8	100
36.2	35
41.1	27
43.3	20
57.7	17

Structural model:
a = 14.529 Å, b = 4.183 Å, c = 8.847 Å
α = 90.00°, β = 123.59°, γ = 90.00°
Space group C2/m (No. 12)
Inequivalent atoms, fractional coordinates:
Ca: 0.000 0.000 0.000
Ac: 0.145 0.500 0.706
Se: 0.055 0.000 0.372
Se: 0.168 0.500 0.083

---

(10)
Computed X-ray powder pattern
Compound: Ca3Ac5Se8
Radiation: Cu Ka
Structure: a crystal structure in Alexandria, relaxed with PBE
Kinematic intensities with the Lorentz-polarization factor, no thermal factor.

Top 10 peaks for 10 to 90 degrees two-theta, low angle first:
Position (°2θ)	I_rel
12.2	14
23.9	17
25.0	14
28.8	100
41.0	38
41.4	38
51.2	20
67.3	17
67.9	17
75.2	13

Structural model:
a = 8.7195 Å, b = 8.7195 Å, c = 21.6990 Å
α = 90.00°, β = 90.00°, γ = 120.00°
Space group R-3m (No. 166, hexagonal axes)
Inequivalent atoms, fractional coordinates:
Ca: 0.0000 0.5000 0.0000
Ac: 0.0000 0.0000 0.0000
Ac: 0.0000 0.0000 0.5000
Ac: 0.0000 0.5000 0.5000
Se: 0.0000 0.0000 0.2564
Se: 0.0099 0.5050 0.2550

---

(11)
Computed X-ray powder pattern
Compound: Sr2CaAcSe4
Radiation: Cu Ka
Structure: a crystal structure in Alexandria, relaxed with PBE
Kinematic intensities with the Lorentz-polarization factor, no thermal factor.

Top 10 peaks for 10 to 90 degrees two-theta, low angle first:
Position (°2θ)	I_rel
12.3	13
23.7	11
28.7	100
41.0	50
41.1	25
50.9	20
59.4	12
67.2	17
67.3	17
74.8	17

Structural model:
a = 7.611 Å, b = 4.398 Å, c = 7.639 Å
α = 90.00°, β = 109.41°, γ = 90.00°
Space group P2/m (No. 10)
Inequivalent atoms, fractional coordinates:
Sr: 0.000 0.000 0.000
Sr: 0.500 0.500 0.000
Ca: 0.000 0.500 0.500
Ac: 0.500 0.000 0.500
Se: 0.241 0.000 0.741
Se: 0.243 0.500 0.252

---

(12)
Computed X-ray powder pattern
Compound: Ca3Ac2Si4
Radiation: Cu Ka
Structure: a crystal structure in Alexandria, relaxed with PBE
Kinematic intensities with the Lorentz-polarization factor, no thermal factor.

Top 10 peaks for 10 to 90 degrees two-theta, low angle first:
Position (°2θ)	I_rel
15.7	100
23.5	29
26.3	38
28.8	36
30.3	46
31.2	39
31.6	71
32.3	25
35.3	35
48.9	23

Structural model:
a = 8.166 Å, b = 8.122 Å, c = 7.733 Å
α = 90.00°, β = 105.67°, γ = 90.00°
Space group P2_1/c (No. 14)
Inequivalent atoms, fractional coordinates:
Ca: 0.000 0.000 0.000
Ca: 0.256 0.181 0.749
Ac: 0.301 0.683 0.914
Si: 0.006 0.608 0.115
Si: 0.426 0.029 0.118

---

(13)
Computed X-ray powder pattern
Compound: CaAcSi4
Radiation: Cu Ka
Structure: a crystal structure in Alexandria, relaxed with PBE
Kinematic intensities with the Lorentz-polarization factor, no thermal factor.

Top 10 peaks for 10 to 90 degrees two-theta, low angle first:
Position (°2θ)	I_rel
16.0	40
20.2	39
24.2	45
25.7	47
28.6	58
29.8	32
31.6	100
32.1	52
36.5	31
40.6	35

Structural model:
a = 7.536 Å, b = 16.247 Å, c = 4.440 Å
α = 90.00°, β = 90.00°, γ = 90.00°
Space group Pbam (No. 55)
Inequivalent atoms, fractional coordinates:
Ca: 0.135 0.086 0.000
Ac: 0.132 0.338 0.000
Si: 0.023 0.812 0.500
Si: 0.111 0.552 0.500
Si: 0.136 0.957 0.500
Si: 0.206 0.696 0.500